Simulated X-ray diffraction stick pattern
Compound: ThSi2
Radiation: Cu Kα (weighted mean of Kα1 and Kα2)
Structure: a cell relaxed with PBE
Intensities are scaled so that the largest is 1000.

Crystal structure
Cell: 4.125 4.125 4.168 Å, 90.00 90.00 120.00°
Sites, in units of the cell vectors:
Th1 0.000 0.000 0.000
Si1 0.333 0.667 0.500
Si2 0.667 0.333 0.500

Main lines, by angle (2θ from 15° to 90°):
| d (Å) | 2θ/deg | intensity |
| --- | --- | --- |
| 4.168 | 21.32 | 200 |
| 3.572 | 24.93 | 593 |
| 2.712 | 33.02 | 1000 |
| 2.062 | 43.90 | 284 |
| 1.800 | 50.71 | 186 |
| 1.642 | 56.02 | 227 |
| 1.466 | 63.46 | 193 |
| 1.284 | 73.77 | 205 |

Simulated X-ray diffraction stick pattern
Compound: Sb4O5F2
Radiation: Cu Kα (weighted mean of Kα1 and Kα2)
Structure: a cell relaxed with PBE
Intensities are scaled so that the largest is 1000.

Crystal structure
Cell: 9.595 7.880 9.967 Å, 90.00 90.00 90.00°
Sites, in units of the cell vectors:
Sb1 0.030 0.250 0.053
Sb2 0.046 0.750 0.479
Sb3 0.227 0.026 0.683
Sb4 0.227 0.474 0.683
Sb5 0.273 0.526 0.183
Sb6 0.273 0.974 0.183
Sb7 0.454 0.250 0.979
Sb8 0.470 0.750 0.553
Sb9 0.530 0.250 0.447
Sb10 0.546 0.750 0.021
Sb11 0.727 0.026 0.817
Sb12 0.727 0.474 0.817
Sb13 0.773 0.526 0.317
Sb14 0.773 0.974 0.317
Sb15 0.954 0.250 0.521
Sb16 0.970 0.750 0.947
O1 0.045 0.569 0.626
O2 0.045 0.931 0.626
O3 0.163 0.056 0.024
O4 0.163 0.444 0.024
O5 0.165 0.250 0.567
O6 0.335 0.750 0.067
O7 0.337 0.556 0.524
O8 0.337 0.944 0.524
O9 0.455 0.069 0.126
O10 0.455 0.431 0.126
O11 0.545 0.569 0.874
O12 0.545 0.931 0.874
O13 0.663 0.056 0.476
O14 0.663 0.444 0.476
O15 0.665 0.250 0.933
O16 0.835 0.750 0.433
O17 0.837 0.556 0.976
O18 0.837 0.944 0.976
O19 0.955 0.069 0.374
O20 0.955 0.431 0.374
F1 0.000 0.250 0.853
F2 0.000 0.750 0.147
F3 0.214 0.250 0.241
F4 0.286 0.750 0.741
F5 0.500 0.250 0.647
F6 0.500 0.750 0.353
F7 0.714 0.250 0.259
F8 0.786 0.750 0.759

Main lines, by angle (2θ from 15° to 90°):
| d (Å) | 2θ/deg | intensity |
| --- | --- | --- |
| 4.423 | 20.08 | 683 |
| 3.456 | 25.78 | 856 |
| 3.091 | 28.89 | 612 |
| 3.045 | 29.33 | 1000 |
| 2.942 | 30.38 | 276 |
| 2.841 | 31.49 | 284 |
| 2.306 | 39.06 | 239 |
| 1.711 | 53.54 | 197 |

Simulated X-ray diffraction stick pattern
Compound: TbTaTiO6
Radiation: Cu Kα (weighted mean of Kα1 and Kα2)
Structure: a cell relaxed with PBE
Intensities are scaled so that the largest is 1000.

Crystal structure
Cell: 11.090 5.251 7.453 Å, 90.00 90.00 90.00°
Sites, in units of the cell vectors:
Tb1 0.044 0.045 0.000
Tb2 0.456 0.545 0.500
Tb3 0.544 0.455 0.000
Tb4 0.956 0.955 0.500
Ta1 0.144 0.540 0.259
Ta2 0.356 0.040 0.759
Ta3 0.644 0.960 0.259
Ta4 0.856 0.460 0.759
Ti1 0.142 0.537 0.743
Ti2 0.358 0.037 0.243
Ti3 0.642 0.963 0.743
Ti4 0.858 0.463 0.243
O1 0.026 0.263 0.710
O2 0.027 0.259 0.294
O3 0.118 0.675 0.504
O4 0.144 0.439 0.000
O5 0.208 0.879 0.818
O6 0.210 0.884 0.186
O7 0.290 0.384 0.686
O8 0.292 0.379 0.318
O9 0.356 0.939 0.500
O10 0.382 0.175 0.004
O11 0.473 0.759 0.794
O12 0.474 0.763 0.210
O13 0.526 0.237 0.710
O14 0.527 0.241 0.294
O15 0.618 0.825 0.504
O16 0.644 0.061 0.000
O17 0.708 0.621 0.818
O18 0.710 0.616 0.186
O19 0.790 0.116 0.686
O20 0.792 0.121 0.318
O21 0.856 0.561 0.500
O22 0.882 0.325 0.004
O23 0.973 0.741 0.794
O24 0.974 0.737 0.210

Main lines, by angle (2θ from 15° to 90°):
| d (Å) | 2θ/deg | intensity |
| --- | --- | --- |
| 4.449 | 19.96 | 432 |
| 4.003 | 22.21 | 390 |
| 3.093 | 28.87 | 253 |
| 3.023 | 29.55 | 702 |
| 2.931 | 30.50 | 1000 |
| 2.801 | 31.95 | 189 |
| 2.625 | 34.15 | 248 |
| 1.586 | 58.16 | 224 |

Simulated X-ray diffraction stick pattern
Compound: Dy3Pd2
Radiation: Cu Kα (weighted mean of Kα1 and Kα2)
Structure: a cell relaxed with PBE
Intensities are scaled so that the largest is 1000.

Crystal structure
Cell: 7.810 7.810 3.945 Å, 90.00 90.00 90.00°
Sites, in units of the cell vectors:
Dy1 0.000 0.000 0.000
Dy2 0.165 0.335 0.500
Dy3 0.335 0.835 0.500
Dy4 0.500 0.500 0.000
Dy5 0.665 0.165 0.500
Dy6 0.835 0.665 0.500
Pd1 0.132 0.632 0.000
Pd2 0.368 0.132 0.000
Pd3 0.632 0.868 0.000
Pd4 0.868 0.368 0.000

Main lines, by angle (2θ from 15° to 90°):
| d (Å) | 2θ/deg | intensity |
| --- | --- | --- |
| 3.210 | 27.79 | 112 |
| 2.775 | 32.26 | 314 |
| 2.615 | 34.29 | 1000 |
| 2.470 | 36.38 | 512 |
| 1.972 | 46.01 | 165 |
| 1.708 | 53.67 | 119 |
| 1.541 | 60.02 | 239 |
| 1.361 | 68.99 | 152 |

Simulated X-ray diffraction stick pattern
Compound: LiCuF4
Radiation: Cu Kα (weighted mean of Kα1 and Kα2)
Structure: a cell relaxed with PBE
Intensities are scaled so that the largest is 1000.

Crystal structure
Cell: 5.627 4.992 5.861 Å, 90.00 119.36 90.00°
Sites, in units of the cell vectors:
Li1 0.000 0.000 0.000
Li2 0.000 0.500 0.500
Cu1 0.500 0.000 0.500
Cu2 0.500 0.500 0.000
F1 0.175 0.170 0.367
F2 0.175 0.330 0.867
F3 0.354 0.688 0.697
F4 0.354 0.812 0.197
F5 0.646 0.188 0.803
F6 0.646 0.312 0.303
F7 0.825 0.670 0.133
F8 0.825 0.830 0.633

Main lines, by angle (2θ from 15° to 90°):
| d (Å) | 2θ/deg | intensity |
| --- | --- | --- |
| 4.905 | 18.09 | 671 |
| 3.570 | 24.94 | 668 |
| 3.516 | 25.33 | 1000 |
| 2.929 | 30.52 | 149 |
| 2.451 | 36.66 | 206 |
| 2.227 | 40.52 | 208 |
| 1.785 | 51.17 | 162 |
| 1.758 | 52.01 | 207 |

Simulated X-ray diffraction stick pattern
Compound: In2CuTe3Cl
Radiation: Cu Kα (weighted mean of Kα1 and Kα2)
Structure: a cell relaxed with PBE
Intensities are scaled so that the largest is 1000.

Crystal structure
Cell: 6.191 6.227 7.449 Å, 65.37 66.97 89.18°
Sites, in units of the cell vectors:
In1 0.000 0.000 0.000
In2 0.264 0.737 0.521
Cu1 0.553 0.470 0.985
Te1 0.427 0.338 0.752
Te2 0.638 0.138 0.285
Te3 0.842 0.871 0.745
Cl1 0.161 0.645 0.242

Main lines, by angle (2θ from 15° to 90°):
| d (Å) | 2θ/deg | intensity |
| --- | --- | --- |
| 3.641 | 24.44 | 604 |
| 3.587 | 24.82 | 587 |
| 3.526 | 25.26 | 1000 |
| 2.219 | 40.66 | 265 |
| 2.210 | 40.84 | 258 |
| 2.194 | 41.15 | 285 |
| 2.177 | 41.47 | 455 |
| 2.139 | 42.25 | 221 |